(1)
Simulated powder diffractogram of LiLa3Ti4O12 for Cu Kα (λ = 1.5418 Å), from DFT lattice parameters and positions (PBE).
Lines closer than 0.1° are merged.

Crystal structure
Lattice parameters (Å, degrees): 8.7896 8.7896 8.7896 143.14 143.14 53.11
Element x y z (fractional)
Li (0.0000, 0.0000, 0.0000)
La (0.2486, 0.2486, 0.0000)
La (0.5000, 0.5000, 0.0000)
La (0.7514, 0.7514, 0.0000)
Ti (0.1232, 0.6232, 0.5000)
Ti (0.3768, 0.8768, 0.5000)
Ti (0.6232, 0.1232, 0.5000)
Ti (0.8768, 0.3768, 0.5000)
O (0.0000, 0.5000, 0.5000)
O (0.1260, 0.1260, 0.5105)
O (0.1260, 0.6155, 0.0000)
O (0.2500, 0.7500, 0.5000)
O (0.3845, 0.3845, 0.5105)
O (0.3845, 0.8740, 0.0000)
O (0.5000, 0.0000, 0.5000)
O (0.6155, 0.1260, 0.0000)
O (0.6155, 0.6155, 0.4895)
O (0.7500, 0.2500, 0.5000)
O (0.8740, 0.3845, 0.0000)
O (0.8740, 0.8740, 0.4895)

Largest 6 diffraction maxima, by angle, 2θ = 15–90°:
16.92 deg, rel. 19
32.21 deg, rel. 100
39.72 deg, rel. 23
46.20 deg, rel. 38
57.43 deg, rel. 38
67.39 deg, rel. 22

=====

(2)
Simulated powder diffractogram of LiLaP for Cu Kα (λ = 1.5418 Å), from DFT lattice parameters and positions (PBE).
Lines closer than 0.1° are merged.

Crystal structure
Lattice parameters (Å, degrees): 4.7018 4.7018 4.7018 60.00 60.00 60.00
Element x y z (fractional)
Li (0.0000, 0.0000, 0.0000)
La (0.5000, 0.5000, 0.5000)
P (0.2500, 0.2500, 0.2500)

Largest 6 diffraction maxima, by angle, 2θ = 15–90°:
23.17 deg, rel. 100
26.82 deg, rel. 34
38.29 deg, rel. 65
45.23 deg, rel. 50
60.71 deg, rel. 21
69.22 deg, rel. 22

=====

(3)
Simulated powder diffractogram of LiLaP for Cu Kα (λ = 1.5418 Å), from DFT lattice parameters and positions (PBE).
Lines closer than 0.1° are merged.

Crystal structure
Lattice parameters (Å, degrees): 4.2319 4.2319 6.9175 90.00 90.00 90.00
Element x y z (fractional)
Li (0.2500, 0.7500, 0.0000)
Li (0.7500, 0.2500, 0.0000)
La (0.2500, 0.2500, 0.3313)
La (0.7500, 0.7500, 0.6687)
P (0.2500, 0.2500, 0.7756)
P (0.7500, 0.7500, 0.2244)

Largest 6 diffraction maxima, by angle, 2θ = 15–90°:
24.66 deg, rel. 93
29.86 deg, rel. 100
33.46 deg, rel. 89
42.73 deg, rel. 42
49.95 deg, rel. 54
55.33 deg, rel. 42

=====

(4)
Simulated powder diffractogram of LiLa2PPd6 for Cu Kα (λ = 1.5418 Å), from DFT lattice parameters and positions (PBE).
Lines closer than 0.1° are merged.

Crystal structure
Lattice parameters (Å, degrees): 5.6487 8.7681 8.0057 90.00 90.00 90.00
Element x y z (fractional)
Li (0.2500, 0.2500, 0.2201)
Li (0.7500, 0.7500, 0.7799)
La (0.2500, 0.5123, 0.7686)
La (0.2500, 0.9877, 0.7686)
La (0.7500, 0.0123, 0.2314)
La (0.7500, 0.4877, 0.2314)
P (0.2500, 0.7500, 0.2696)
P (0.7500, 0.2500, 0.7304)
Pd (0.0044, 0.2500, 0.9593)
Pd (0.0076, 0.2500, 0.4952)
Pd (0.2500, 0.0012, 0.3811)
Pd (0.2500, 0.4988, 0.3811)
Pd (0.4924, 0.2500, 0.4952)
Pd (0.4956, 0.2500, 0.9593)
Pd (0.5044, 0.7500, 0.0407)
Pd (0.5076, 0.7500, 0.5048)
Pd (0.7500, 0.5012, 0.6189)
Pd (0.7500, 0.9988, 0.6189)
Pd (0.9924, 0.7500, 0.5048)
Pd (0.9956, 0.7500, 0.0407)

Largest 6 diffraction maxima, by angle, 2θ = 15–90°:
30.23 deg, rel. 90
37.89 deg, rel. 100
39.03 deg, rel. 56
41.18 deg, rel. 45
42.78 deg, rel. 40
58.04 deg, rel. 39

=====

(5)
Simulated powder diffractogram of LiLa2P3Pd4 for Cu Kα (λ = 1.5418 Å), from DFT lattice parameters and positions (PBE).
Lines closer than 0.1° are merged.

Crystal structure
Lattice parameters (Å, degrees): 4.2457 4.2457 9.9366 90.00 90.00 90.00
Element x y z (fractional)
Li (0.0000, 0.0000, 0.0000)
La (0.0000, 0.5000, 0.7444)
La (0.5000, 0.0000, 0.2556)
P (0.0000, 0.5000, 0.3620)
P (0.5000, 0.0000, 0.6380)
P (0.5000, 0.5000, 0.0000)
Pd (0.0000, 0.0000, 0.5000)
Pd (0.0000, 0.5000, 0.1205)
Pd (0.5000, 0.0000, 0.8795)
Pd (0.5000, 0.5000, 0.5000)

Largest 6 diffraction maxima, by angle, 2θ = 15–90°:
31.12 deg, rel. 42
34.34 deg, rel. 84
34.92 deg, rel. 100
42.59 deg, rel. 67
50.72 deg, rel. 26
55.81 deg, rel. 41